[1]
Simulated powder XRD pattern
Compound: Li9Mn2Co5O16
Radiation: Cu Kα, 1.54184 Å
Structure: the PBE+U geometry in the Materials Project
Neutral-atom scattering factors, no anomalous dispersion.

Crystal structure
Cell: 5.9065 6.4449 8.6069 Å, 82.98 70.65 65.93°
Space group P1 (No. 1)
Unique sites:
Li 0.0000 0.0000 0.0000 [1 per cell]
Li 0.0000 0.5001 0.4927 [1 per cell]
Li 0.0028 0.7529 0.7434 [1 per cell]
Li 0.0079 0.2488 0.2486 [1 per cell]
Li 0.2520 0.9996 0.4933 [1 per cell]
Li 0.4932 0.2452 0.2507 [1 per cell]
Li 0.4990 0.9963 0.0015 [1 per cell]
Li 0.5017 0.7506 0.7449 [1 per cell]
Li 0.5050 0.5024 0.4936 [1 per cell]
Mn 0.7526 0.9970 0.4955 [1 per cell]
Mn 0.7612 0.2468 0.7471 [1 per cell]
Co 0.2490 0.7534 0.2473 [1 per cell]
Co 0.2525 0.5001 0.9982 [1 per cell]
Co 0.2551 0.2480 0.7459 [1 per cell]
Co 0.7372 0.7569 0.2485 [1 per cell]
Co 0.7510 0.4999 0.9982 [1 per cell]
O 0.0997 0.7688 0.4846 [1 per cell]
O 0.1013 0.0330 0.7489 [1 per cell]
O 0.1352 0.5154 0.2350 [1 per cell]
O 0.1393 0.2643 0.9820 [1 per cell]
O 0.3649 0.7360 0.0064 [1 per cell]
O 0.3696 0.9818 0.2455 [1 per cell]
O 0.3959 0.4723 0.7578 [1 per cell]
O 0.3975 0.2301 0.5138 [1 per cell]
O 0.6375 0.7593 0.4868 [1 per cell]
O 0.6392 0.2607 0.9864 [1 per cell]
O 0.6410 0.5101 0.2342 [1 per cell]
O 0.6480 0.0044 0.7366 [1 per cell]
O 0.8510 0.9971 0.2601 [1 per cell]
O 0.8607 0.2414 0.5110 [1 per cell]
O 0.8629 0.4914 0.7568 [1 per cell]
O 0.8665 0.7346 0.0073 [1 per cell]

The 10 most intense peaks (2θ = 15–90°), by angle:
hkl 0 1 -1, 18.49°, I 100.0; hkl 2 0 0, 35.01°, I 16.9; hkl 0 1 3, 36.75°, I 23.6; hkl 0 2 -2, 37.47°, I 8.2; hkl 2 1 3, 38.00°, I 7.4; hkl 2 -1 1, 42.18°, I 30.8; hkl 2 3 1, 44.67°, I 51.1; hkl -2 1 3, 63.08°, I 22.6; hkl 0 4 0, 63.22°, I 7.5; hkl 2 3 5, 65.71°, I 9.0

---

[2]
Simulated powder XRD pattern
Compound: BaV2O7
Radiation: Cu Kα, 1.54184 Å
Structure: the PBE+U geometry in the Materials Project
Neutral-atom scattering factors, no anomalous dispersion.

Crystal structure
Cell: 7.3979 9.0561 10.6449 Å, 90.00 90.00 90.00°
Space group P2_12_12_1 (No. 19)
Unique sites:
Ba 0.2432 0.1172 0.0099 [4 per cell]
V 0.0281 0.2298 0.3184 [4 per cell]
V 0.2290 0.4885 0.5059 [4 per cell]
O 0.0173 0.7640 0.3342 [4 per cell]
O 0.0665 0.4034 0.4001 [4 per cell]
O 0.1045 0.6126 0.5861 [4 per cell]
O 0.1094 0.4161 0.9306 [4 per cell]
O 0.1587 0.1281 0.6805 [4 per cell]
O 0.1699 0.6502 0.1069 [4 per cell]
O 0.2063 0.1153 0.3258 [4 per cell]

The 10 most intense peaks (2θ = 15–90°), by angle:
hkl 0 0 2, 16.66°, I 72.8; hkl 1 2 1, 24.52°, I 100.0; hkl 0 2 2, 25.83°, I 29.3; hkl 0 1 3, 26.99°, I 47.1; hkl 2 1 1, 27.36°, I 28.9; hkl 2 0 2, 29.41°, I 67.6; hkl 1 2 3, 34.32°, I 55.6; hkl 3 2 1, 42.60°, I 33.2; hkl 2 4 0, 47.12°, I 29.6; hkl 4 0 0, 49.29°, I 24.6

---

[3]
Simulated powder XRD pattern
Compound: AlCrF5
Radiation: Cu Kα, 1.54184 Å
Structure: the PBE+U geometry in the Materials Project
Neutral-atom scattering factors, no anomalous dispersion.

Crystal structure
Cell: 3.6620 6.3315 7.5928 Å, 90.00 90.00 90.00°
Space group Immm (No. 71)
Unique sites:
Al 0.0000 0.0000 0.0000 [2 per cell]
Cr 0.0000 0.0000 0.5000 [2 per cell]
F 0.0000 0.0000 0.2377 [4 per cell]
F 0.0000 0.2898 0.0000 [4 per cell]
F 0.0000 0.5000 0.5000 [2 per cell]

The 10 most intense peaks (2θ = 15–90°), by angle:
hkl 0 0 2, 23.43°, I 60.4; hkl 0 2 0, 28.17°, I 100.0; hkl 1 2 1, 39.45°, I 32.8; hkl 0 0 4, 47.92°, I 22.3; hkl 2 0 0, 49.84°, I 40.4; hkl 1 2 3, 52.61°, I 15.7; hkl 2 0 2, 55.76°, I 14.1; hkl 0 2 4, 56.52°, I 22.7; hkl 0 4 0, 58.25°, I 17.7; hkl 2 0 4, 71.63°, I 21.9

---

Number 3 is which compound?
AlCrF5